Starting from DFT lattice parameters and positions (PBE), the XRD peak list of La3ZnPd3 was computed for Cu Kα (weighted mean of Kα1 and Kα2).

Main lines, sorted by position (2θ = 10–90°):
2θ/deg	I/Imax	(hkl)
25.24	257	1 1 2
28.89	361	1 1 3
32.26	433	1 3 0
33.38	821	1 1 4
33.91	219	0 4 1
37.49	1000	1 3 3
37.71	292	0 0 6
38.43	288	0 4 3
41.22	430	2 0 0
57.10	173	2 0 6

Unit cell a=4.380 b=10.760 c=14.312 alpha=90.00 beta=90.00 gamma=90.00
Space group Cmcm (No. 63)
Inequivalent atoms, fractional coordinates:
La (0.000, 0.023, 0.250) (multiplicity 4)
La (0.000, 0.297, 0.103) (multiplicity 8)
Zn (0.000, 0.000, 0.000) (multiplicity 4)
Pd (0.000, 0.257, 0.750) (multiplicity 4)
Pd (0.000, 0.420, 0.590) (multiplicity 8)